# 1
Diffraction record for Al2GeO4F2. The XRD peak list is computed, not measured: it uses a GGA-PBE-relaxed structure and Cu Kα (λ = 1.5418 Å).

Peak list (10 most intense, 15° ≤ 2θ ≤ 90°, most intense first)
d/Å	2θ (°)	I/Imax	(hkl)
3.032	29.5	100.0	1 2 1
3.819	23.3	57.5	1 1 1
3.306	27.0	51.4	2 0 1
3.130	28.5	42.3	2 2 0
2.432	37.0	37.1	2 3 0
1.728	53.0	33.0	3 2 2
2.249	40.1	31.7	1 1 2
2.459	36.5	31.6	3 1 1
1.464	63.5	27.5	5 3 1
1.926	47.2	25.3	1 4 1

Structure:
```
data_Al2GeO4F2
_chemical_formula_sum 'Al8 Ge4 O16 F8'
_cell_length_a 9.088
_cell_length_b 8.637
_cell_length_c 4.818
_cell_angle_alpha 90.00
_cell_angle_beta 90.00
_cell_angle_gamma 90.00
_space_group_name_H-M_alt 'P n m a'
_space_group_IT_number 62
_space_group_name_Hall '-P 2ac 2n'
loop_
_atom_site_label
_atom_site_fract_x
_atom_site_fract_y
_atom_site_fract_z
Al1 0.131 0.082 0.094
Ge1 0.060 0.750 0.399
O1 0.009 0.584 0.203
O2 0.036 0.250 0.281
O3 0.246 0.250 0.959
F1 0.249 0.552 0.895
```

# 2
Diffraction record for KAl2P2H8O12F. The XRD peak list is computed, not measured: it uses a GGA-PBE-relaxed structure and Cu Kα (λ = 1.5418 Å).

Peak list (10 most intense, 15° ≤ 2θ ≤ 90°, most intense first)
d/Å	2θ (°)	I/Imax	(hkl)
5.592	15.8	100.0	0 0 1
3.385	26.3	64.1	2 1 1
3.438	25.9	54.3	1 2 1
2.160	41.8	34.9	2 2 2
3.095	28.8	31.3	1 3 0
2.708	33.1	29.6	1 3 1
3.691	24.1	27.1	0 2 1
2.641	33.9	26.2	3 1 1
2.996	29.8	20.0	3 1 0
2.294	39.3	18.0	4 1 0

Structure:
```
data_KAl2P2H8O12F
_chemical_formula_sum 'K2 Al4 P4 H16 O24 F2'
_cell_length_a 9.436
_cell_length_b 9.828
_cell_length_c 5.592
_cell_angle_alpha 90.00
_cell_angle_beta 90.00
_cell_angle_gamma 90.00
_space_group_name_H-M_alt 'P b a 2'
_space_group_IT_number 32
_space_group_name_Hall 'P 2 -2ab'
loop_
_atom_site_label
_atom_site_fract_x
_atom_site_fract_y
_atom_site_fract_z
K1 0.000 0.000 0.000
Al1 0.140 0.389 0.040
P1 0.147 0.675 0.790
H1 0.015 0.727 0.367
H2 0.148 0.227 0.396
H3 0.215 0.881 0.428
H4 0.225 0.536 0.404
O1 0.016 0.320 0.816
O2 0.073 0.249 0.277
O3 0.184 0.706 0.524
O4 0.208 0.533 0.855
O5 0.209 0.783 0.961
O6 0.238 0.956 0.314
F1 0.000 0.500 0.174
```

# 3
Diffraction record for Li3Al3P3H2O14F. The XRD peak list is computed, not measured: it uses a GGA-PBE-relaxed structure and Cu Kα (λ = 1.5418 Å).

Peak list (10 most intense, 15° ≤ 2θ ≤ 90°, most intense first)
d/Å	2θ (°)	I/Imax	(hkl)
3.197	27.9	100.0	0 1 -4
2.987	29.9	76.3	-1 2 2
4.699	18.9	57.0	1 0 -1
3.242	27.5	52.3	1 1 -2
3.372	26.4	42.9	1 1 1
3.258	27.4	38.3	1 -1 3
3.310	26.9	36.1	0 2 1
2.424	37.1	29.1	1 1 4
4.729	18.8	25.8	0 0 3
1.979	45.9	23.1	2 1 -3

Structure:
```
data_Li3Al3P3H2O14F
_chemical_formula_sum 'Li6 Al6 P6 H4 O28 F2'
_cell_length_a 5.091
_cell_length_b 7.167
_cell_length_c 14.217
_cell_angle_alpha 91.11
_cell_angle_beta 93.16
_cell_angle_gamma 106.49
_space_group_name_H-M_alt 'P 1'
_space_group_IT_number 1
_space_group_name_Hall 'P 1'
loop_
_atom_site_label
_atom_site_fract_x
_atom_site_fract_y
_atom_site_fract_z
Li1 0.000 0.000 0.000
Li2 0.141 0.664 0.285
Li3 0.330 0.332 0.335
Li4 0.477 0.998 0.616
Li5 0.667 0.667 0.666
Li6 0.811 0.317 0.948
Al1 0.072 0.327 0.142
Al2 0.076 0.329 0.640
Al3 0.404 0.657 0.974
Al4 0.407 0.659 0.477
Al5 0.739 0.989 0.809
Al6 0.742 0.997 0.307
P1 0.006 0.935 0.512
P2 0.139 0.718 0.766
P3 0.339 0.266 0.846
P4 0.471 0.051 0.101
P5 0.671 0.600 0.182
P6 0.805 0.384 0.434
H1 0.162 0.075 0.234
H2 0.496 0.407 0.568
H3 0.826 0.737 0.900
H4 0.983 0.578 0.049
O1 0.042 0.160 0.246
O2 0.043 0.169 0.878
O3 0.101 0.494 0.036
O4 0.102 0.481 0.404
O5 0.145 0.663 0.871
O6 0.155 0.111 0.580
O7 0.184 0.794 0.527
O8 0.299 0.195 0.086
O9 0.323 0.323 0.743
O10 0.323 0.875 0.034
O11 0.375 0.510 0.213
O12 0.376 0.492 0.580
O13 0.436 0.815 0.735
O14 0.473 0.995 0.206
O15 0.486 0.440 0.914
O16 0.516 0.124 0.859
O17 0.630 0.527 0.420
O18 0.656 0.208 0.368
O19 0.667 0.652 0.077
O20 0.707 0.821 0.913
O21 0.711 0.840 0.545
O22 0.768 0.144 0.071
O23 0.808 0.328 0.539
O24 0.821 0.779 0.247
O25 0.845 0.457 0.198
O26 0.963 0.860 0.752
O27 0.990 0.542 0.699
O28 0.991 0.991 0.409
F1 0.452 0.817 0.368
F2 0.785 0.151 0.701
```